Theoretical powder X-ray diffraction pattern of KZnPb3 for Cu Kα, from the PBE geometry in Alexandria.
Kinematic intensities with the Lorentz-polarization factor, no thermal factor.

Atomic structure:
a b c (Å): 5.210 5.210 12.022
angles (deg): 90.00 90.00 90.00
Space group I4mm (No. 107)
Asymmetric unit:
K1 0.000 0.000 0.000 [2 per cell]
Zn1 0.000 0.000 0.367 [2 per cell]
Pb1 0.000 0.000 0.600 [2 per cell]
Pb2 0.000 0.500 0.256 [4 per cell]

Main lines, by angle (2θ = 15–90°):
(hkl)  two_theta  I (rel.)
1 0 1  18.56  32.7
1 0 3  28.09  18.3
1 1 2  28.42  100.0
2 0 0  34.43  57.7
2 0 2  37.63  18.2
1 1 4  38.66  58.4
2 2 0  49.49  20.9
2 0 6  58.06  41.9
3 1 4  64.50  26.9
4 2 0  82.89  15.5

Theoretical powder X-ray diffraction pattern of KZrPb for Cu Kα, from the PBE geometry in Alexandria.
Kinematic intensities with the Lorentz-polarization factor, no thermal factor.

Atomic structure:
a b c (Å): 4.633 4.644 17.118
angles (deg): 90.00 90.00 90.00
Space group Fmm2 (No. 42)
Asymmetric unit:
K1 0.000 0.000 0.000 [4 per cell]
Zr1 0.000 0.000 0.702 [4 per cell]
Pb1 0.000 0.000 0.334 [4 per cell]

Main lines, by angle (2θ = 15–90°):
(hkl)  two_theta  I (rel.)
1 1 1  27.69  20.0
0 0 6  31.35  19.2
1 1 3  31.46  100.0
1 1 5  37.99  33.3
2 0 0  38.83  30.8
2 0 2  40.29  17.2
2 0 6  50.73  19.8
2 0 8  58.71  12.4
1 3 3  65.67  21.0
3 1 3  65.80  11.8

Theoretical powder X-ray diffraction pattern of KZrPb for Cu Kα, from the PBE geometry in Alexandria.
Kinematic intensities with the Lorentz-polarization factor, no thermal factor.

Atomic structure:
a b c (Å): 3.322 4.615 13.468
angles (deg): 90.00 90.00 90.00
Space group Imm2 (No. 44)
Asymmetric unit:
K1 0.000 0.000 0.000 [2 per cell]
Zr1 0.000 0.000 0.279 [2 per cell]
Pb1 0.000 0.000 0.702 [2 per cell]

Main lines, by angle (2θ = 15–90°):
(hkl)  two_theta  I (rel.)
0 1 1  20.34  30.1
0 0 4  26.47  36.0
0 1 3  27.71  100.0
1 1 0  33.23  93.0
1 0 3  33.56  51.6
1 1 2  35.88  70.1
0 1 5  38.71  31.8
0 2 0  39.03  29.9
1 1 4  42.98  39.4
1 2 7  69.60  32.7

Theoretical powder X-ray diffraction pattern of KPd for Cu Kα, from the PBE geometry in Alexandria.
Kinematic intensities with the Lorentz-polarization factor, no thermal factor.

Atomic structure:
a b c (Å): 9.0832 9.0832 4.9809
angles (deg): 90.00 90.00 120.00
Space group P6_3/mmc (No. 194)
Asymmetric unit:
K1 0.1875 0.3749 0.2500 [6 per cell]
Pd1 0.1291 0.5645 0.7500 [6 per cell]

Main lines, by angle (2θ = 15–90°):
(hkl)  two_theta  I (rel.)
1 0 1  21.11  59.9
2 0 1  28.93  44.8
3 0 0  34.20  26.7
2 1 1  35.15  73.3
0 0 2  36.06  36.9
3 0 1  38.81  100.0
3 1 0  41.39  36.3
3 0 2  50.56  25.3
3 1 2  56.04  29.4
3 0 3  66.68  19.1

Theoretical powder X-ray diffraction pattern of KPd for Cu Kα, from the PBE geometry in Alexandria.
Kinematic intensities with the Lorentz-polarization factor, no thermal factor.

Atomic structure:
a b c (Å): 3.135 3.135 4.905
angles (deg): 90.00 90.00 90.00
Space group P4/mmm (No. 123)
Asymmetric unit:
K1 0.000 0.000 0.000 [1 per cell]
Pd1 0.500 0.500 0.500 [1 per cell]

Main lines, by angle (2θ = 15–90°):
(hkl)  two_theta  I (rel.)
0 0 1  18.09  23.9
1 0 0  28.47  16.1
1 0 1  33.94  100.0
0 0 2  36.64  20.1
1 1 0  40.71  29.6
1 1 1  44.87  9.8
1 1 2  55.91  22.4
1 0 3  64.25  14.4
2 1 1  69.77  22.3
2 0 2  71.43  10.4

Theoretical powder X-ray diffraction pattern of KPd for Cu Kα, from the PBE geometry in Alexandria.
Kinematic intensities with the Lorentz-polarization factor, no thermal factor.

Atomic structure:
a b c (Å): 11.479 11.479 4.668
angles (deg): 90.00 90.00 90.00
Space group I4/mmm (No. 139)
Asymmetric unit:
K1 0.000 0.257 0.000 [8 per cell]
Pd1 0.218 0.218 0.500 [8 per cell]

Main lines, by angle (2θ = 15–90°):
(hkl)  two_theta  I (rel.)
2 0 0  15.44  100.0
3 0 1  30.20  29.0
4 0 0  31.17  24.0
3 2 1  34.09  31.7
4 2 0  34.96  12.4
0 0 2  38.57  11.1
2 0 2  41.78  15.9
5 0 1  43.95  19.8
4 0 2  50.39  11.6
7 2 1  62.14  12.0

Theoretical powder X-ray diffraction pattern of KPrPd10 for Cu Kα, from the PBE geometry in Alexandria.
Kinematic intensities with the Lorentz-polarization factor, no thermal factor.

Atomic structure:
a b c (Å): 4.450 5.456 9.382
angles (deg): 90.00 90.00 90.00
Space group Pmmm (No. 47)
Asymmetric unit:
K1 0.000 0.000 0.000 [1 per cell]
Pr1 0.000 0.500 0.500 [1 per cell]
Pd1 0.000 0.000 0.339 [2 per cell]
Pd2 0.000 0.500 0.173 [2 per cell]
Pd3 0.500 0.000 0.500 [1 per cell]
Pd4 0.500 0.253 0.256 [4 per cell]
Pd5 0.500 0.500 0.000 [1 per cell]

Main lines, by angle (2θ = 15–90°):
(hkl)  two_theta  I (rel.)
0 1 1  18.81  29.3
0 2 2  38.16  28.6
1 2 0  38.71  50.8
1 1 3  38.87  100.0
2 0 0  40.54  51.5
1 2 2  43.43  49.6
1 0 4  43.62  23.5
1 3 3  62.67  23.6
0 2 6  69.26  19.7
2 2 6  83.45  23.6

Theoretical powder X-ray diffraction pattern of KPdPt2 for Cu Kα, from the PBE geometry in Alexandria.
Kinematic intensities with the Lorentz-polarization factor, no thermal factor.

Atomic structure:
a b c (Å): 4.886 4.886 18.021
angles (deg): 90.00 90.00 90.00
Space group I-42d (No. 122)
Asymmetric unit:
K1 0.000 0.000 0.000 [4 per cell]
Pd1 0.000 0.000 0.500 [4 per cell]
Pt1 0.067 0.250 0.625 [8 per cell]

Main lines, by angle (2θ = 15–90°):
(hkl)  two_theta  I (rel.)
1 0 1  18.82  100.0
0 0 4  19.70  23.6
1 0 3  23.47  19.4
1 1 2  27.65  37.8
2 0 2  38.17  35.3
0 0 8  40.02  21.3
2 1 1  41.63  19.7
2 1 3  44.10  32.4
2 0 6  48.00  18.6
2 1 5  48.73  24.4

What did the sixth record say?
Theoretical powder X-ray diffraction pattern of KPd for Cu Kα, from the PBE geometry in Alexandria.
Kinematic intensities with the Lorentz-polarization factor, no thermal factor.

Atomic structure:
a b c (Å): 11.479 11.479 4.668
angles (deg): 90.00 90.00 90.00
Space group I4/mmm (No. 139)
Asymmetric unit:
K1 0.000 0.257 0.000 [8 per cell]
Pd1 0.218 0.218 0.500 [8 per cell]

Main lines, by angle (2θ = 15–90°):
(hkl)  two_theta  I (rel.)
2 0 0  15.44  100.0
3 0 1  30.20  29.0
4 0 0  31.17  24.0
3 2 1  34.09  31.7
4 2 0  34.96  12.4
0 0 2  38.57  11.1
2 0 2  41.78  15.9
5 0 1  43.95  19.8
4 0 2  50.39  11.6
7 2 1  62.14  12.0